[1]
This entry pairs a crystal structure of ZrNbP3O12 with its computed powder X-ray diffraction pattern. Radiation: Cu Kα X-rays. Structure: the GGA-PBE geometry in the Materials Project.

Structural model:
Cell lengths 9.1734, 9.1734, 9.1734 Å; angles 58.05, 58.05, 58.05 degrees
Element x y z (fractional)
Zr 0.0000 0.0000 0.0000
Zr 0.5000 0.5000 0.5000
Nb 0.2847 0.2847 0.2847
Nb 0.7847 0.7847 0.7847
P 0.1048 0.3983 0.6717
P 0.1718 0.8983 0.6048
P 0.3983 0.6718 0.1048
P 0.6048 0.1717 0.8983
P 0.6718 0.1048 0.3983
P 0.8983 0.6048 0.1718
O 0.0002 0.8735 0.6367
O 0.0690 0.2340 0.8430
O 0.0742 0.4335 0.1966
O 0.1367 0.3735 0.5002
O 0.1448 0.9217 0.7702
O 0.1966 0.0742 0.4335
O 0.2340 0.8430 0.0690
O 0.2702 0.4217 0.6448
O 0.3430 0.7340 0.5690
O 0.3735 0.5002 0.1367
O 0.4217 0.6448 0.2702
O 0.4335 0.1966 0.0742
O 0.5002 0.1367 0.3735
O 0.5690 0.3430 0.7340
O 0.5742 0.6966 0.9335
O 0.6367 0.0002 0.8735
O 0.6448 0.2702 0.4217
O 0.6966 0.9335 0.5742
O 0.7340 0.5690 0.3430
O 0.7702 0.1448 0.9217
O 0.8430 0.0690 0.2340
O 0.8735 0.6367 0.0002
O 0.9217 0.7702 0.1448
O 0.9335 0.5742 0.6966

Main lines, by intensity (10 to 80 degrees two-theta):
Position (°2θ)	Rel. int.
19.4	100.0
23.2	73.7
19.9	67.1
27.9	66.0
30.9	58.4
13.9	53.5
34.6	27.5
34.9	26.2
50.9	23.0
54.5	21.5

[2]
This entry pairs a crystal structure of Nb2PbO6 with its computed powder X-ray diffraction pattern. Radiation: Cu Kα X-rays. Structure: the GGA-PBE geometry in the Materials Project.

Structural model:
Cell lengths 7.3391, 7.3391, 7.3391 Å; angles 93.99, 93.99, 93.99 degrees
Element x y z (fractional)
Nb 0.0163 0.3182 0.6654
Nb 0.0163 0.6654 0.3182
Nb 0.3182 0.0163 0.6654
Nb 0.3182 0.6654 0.0163
Nb 0.6654 0.0163 0.3182
Nb 0.6654 0.3182 0.0163
Pb 0.1531 0.1531 0.1531
Pb 0.4957 0.4957 0.4957
Pb 0.8571 0.8571 0.8571
O 0.0139 0.5613 0.5613
O 0.0850 0.0850 0.8051
O 0.0850 0.8051 0.0850
O 0.1811 0.4648 0.8994
O 0.1811 0.8994 0.4648
O 0.2765 0.2765 0.5714
O 0.2765 0.5714 0.2765
O 0.3447 0.8075 0.8075
O 0.4648 0.1811 0.8994
O 0.4648 0.8994 0.1811
O 0.5613 0.0139 0.5613
O 0.5613 0.5613 0.0139
O 0.5714 0.2765 0.2765
O 0.8051 0.0850 0.0850
O 0.8075 0.3447 0.8075
O 0.8075 0.8075 0.3447
O 0.8994 0.1811 0.4648
O 0.8994 0.4648 0.1811

Main lines, by intensity (10 to 80 degrees two-theta):
Position (°2θ)	Rel. int.
28.1	100.0
28.8	91.3
50.6	44.0
40.7	32.4
55.4	26.5
51.1	20.5
67.3	16.5
16.5	15.3
71.3	11.9
59.7	11.6

[3]
This entry pairs a crystal structure of Nb2PbO6 with its computed powder X-ray diffraction pattern. Radiation: Cu Kα X-rays. Structure: the GGA-PBE geometry in the Materials Project.

Structural model:
Cell lengths 12.9909, 3.9473, 13.0736 Å; angles 90.00, 92.22, 90.00 degrees
Element x y z (fractional)
Nb 0.0000 0.0000 0.0000
Nb 0.0630 0.0000 0.2933
Nb 0.1478 0.0000 0.5850
Nb 0.2734 0.0000 0.8570
Nb 0.3540 0.0000 0.3650
Nb 0.4933 0.0000 0.0769
Nb 0.5655 0.0000 0.7914
Nb 0.6482 0.0000 0.5115
Nb 0.7809 0.0000 0.2112
Nb 0.8663 0.0000 0.7203
Pb 0.2590 0.5000 0.0770
Pb 0.4320 0.5000 0.5732
Pb 0.5757 0.5000 0.2886
Pb 0.7799 0.5000 0.9167
Pb 0.9359 0.5000 0.4596
O 0.0437 0.5000 0.3150
O 0.0459 0.0000 0.4595
O 0.0501 0.0000 0.1495
O 0.1280 0.5000 0.5846
O 0.1331 0.0000 0.9558
O 0.1955 0.0000 0.7335
O 0.2079 0.0000 0.3072
O 0.2664 0.5000 0.8939
O 0.2767 0.0000 0.5275
O 0.3430 0.0000 0.0198
O 0.3508 0.5000 0.3900
O 0.4018 0.0000 0.8023
O 0.4136 0.0000 0.2389
O 0.4708 0.5000 0.0999
O 0.4825 0.0000 0.4542
O 0.5551 0.0000 0.6447
O 0.5569 0.5000 0.7989
O 0.5585 0.0000 0.9562
O 0.6168 0.0000 0.1708
O 0.6208 0.5000 0.5136
O 0.6882 0.0000 0.3750
O 0.7127 0.0000 0.8114
O 0.7514 0.5000 0.2262
O 0.7769 0.0000 0.5878
O 0.8373 0.0000 0.0847
O 0.8446 0.5000 0.7397
O 0.8962 0.0000 0.3059
O 0.9103 0.0000 0.8730
O 0.9746 0.5000 0.0054
O 0.9884 0.0000 0.6601

Main lines, by intensity (10 to 80 degrees two-theta):
Position (°2θ)	Rel. int.
27.4	100.0
27.1	88.3
31.6	78.1
46.0	61.3
28.5	60.8
31.3	58.5
15.0	54.8
15.5	48.7
28.1	41.9
30.1	39.0

[4]
This entry pairs a crystal structure of Nb2PbO6 with its computed powder X-ray diffraction pattern. Radiation: Cu Kα X-rays. Structure: the GGA-PBE geometry in the Materials Project.

Structural model:
Cell lengths 7.3148, 7.3148, 7.3148 Å; angles 93.64, 93.64, 93.64 degrees
Element x y z (fractional)
Nb 0.0066 0.3479 0.6455
Nb 0.3135 0.9582 0.6167
Nb 0.3479 0.6455 0.0066
Nb 0.6167 0.3135 0.9582
Nb 0.6455 0.0066 0.3479
Nb 0.9582 0.6167 0.3135
Pb 0.1638 0.1638 0.1638
Pb 0.4920 0.4920 0.4920
Pb 0.8002 0.8002 0.8002
O 0.0976 0.3867 0.3859
O 0.1007 0.1016 0.6512
O 0.1016 0.6512 0.1007
O 0.1951 0.7594 0.4803
O 0.2069 0.4818 0.7618
O 0.3223 0.8562 0.8587
O 0.3859 0.0976 0.3867
O 0.3867 0.3859 0.0976
O 0.4803 0.1951 0.7594
O 0.4818 0.7618 0.2069
O 0.5751 0.8599 0.5756
O 0.5756 0.5751 0.8599
O 0.6512 0.1007 0.1016
O 0.7594 0.4803 0.1951
O 0.7618 0.2069 0.4818
O 0.8562 0.8587 0.3223
O 0.8587 0.3223 0.8562
O 0.8599 0.5756 0.5751

Main lines, by intensity (10 to 80 degrees two-theta):
Position (°2θ)	Rel. int.
28.1	100.0
29.0	87.6
50.9	43.4
40.8	32.1
55.3	21.7
51.4	19.4
67.6	16.0
16.6	15.1
60.1	10.9
71.4	9.8

What is the formula in the fourth record?
Nb2PbO6